# K3CrPCO7
Theoretical PXRD pattern, Cu Kα. Input: a DFT-relaxed cell (PBE+U, Alexandria).
No peak broadening, texture or thermal motion is included.

Main lines, in order of rising 2θ (2θ from 10° to 90°):
two_theta  intensity  (hkl)
26.2  44  0 2 0
27.4  25  1 1 2
30.9  51  1 0 -3
31.2  100  2 0 0
31.6  37  1 0 3
31.8  81  1 2 -1
31.9  90  0 2 2
32.0  58  1 2 1
41.1  25  2 0 -3
45.3  24  0 2 4
45.6  26  2 2 2
53.9  28  0 4 0

Crystal structure
abc: 5.7367 6.7994 9.9236
angles: 90.00 91.53 90.00
Sites, in units of the cell vectors:
1 K 0.2406 0.2500 0.0773
2 K 0.2442 0.5101 0.7268
3 K 0.2442 0.9899 0.7268
4 K 0.7558 0.0101 0.2732
5 K 0.7558 0.4899 0.2732
6 K 0.7594 0.7500 0.9227
7 Cr 0.2462 0.7500 0.3566
8 Cr 0.7538 0.2500 0.6434
9 P 0.2944 0.2500 0.4219
10 P 0.7056 0.7500 0.5781
11 C 0.2700 0.7500 0.0785
12 C 0.7300 0.2500 0.9215
13 O 0.0879 0.7500 0.1572
14 O 0.1344 0.2500 0.5438
15 O 0.2393 0.7500 0.9488
16 O 0.2497 0.0648 0.3302
17 O 0.2497 0.4352 0.3302
18 O 0.4411 0.7500 0.5337
19 O 0.4768 0.7500 0.1344
20 O 0.5232 0.2500 0.8656
21 O 0.5589 0.2500 0.4663
22 O 0.7503 0.5648 0.6698
23 O 0.7503 0.9352 0.6698
24 O 0.7607 0.2500 0.0512
25 O 0.8656 0.7500 0.4562
26 O 0.9121 0.2500 0.8428